This entry pairs a crystal structure of Dy2YEr12 with its computed XRD peak list. Radiation: copper Kα. Structure: a cell relaxed with GGA-PBE.
Kinematic intensities with the Lorentz-polarization factor, no thermal factor.

Structural model:
abc: 7.1141 11.0994 23.8372
angles: 90.00 94.08 90.00
Space group C2/m (No. 12)
Inequivalent atoms, fractional coordinates:
Dy  0.0718  0.0000  0.2809 x4
Dy  0.0725  0.5000  0.2817 x4
Y  0.2498  0.0000  0.0000 x4
Er  0.0164  0.2507  0.0666 x8
Er  0.0322  0.0000  0.1358 x4
Er  0.0326  0.5000  0.1367 x4
Er  0.1119  0.2513  0.4447 x8
Er  0.1423  0.0000  0.5774 x4
Er  0.1446  0.5000  0.5765 x4
Er  0.1654  0.2502  0.6704 x8
Er  0.2036  0.2501  0.8075 x8

Top 10 peaks for 2θ from 10° to 80°, in order of rising 2θ:
d 2.943, rel. 22
d 2.897, rel. 65
d 2.856, rel. 100
d 2.775, rel. 82
d 2.741, rel. 36
d 2.620, rel. 41
d 2.605, rel. 47
d 1.952, rel. 31
d 1.779, rel. 22
d 1.497, rel. 28